Record 1
Simulated powder XRD pattern
Compound: Cs3KCd2
Radiation: Cu Kα, 1.54184 Å
Structure: a PBE-relaxed structure
Lines closer than 0.1° are merged.

Structural model:
abc: 11.817 11.817 15.392
angles: 119.92 119.92 25.92
Fractional coordinates of all 12 atoms:
Cs (0.083, 0.083, 0.423)
Cs (0.086, 0.086, 0.951)
Cs (0.339, 0.339, 0.261)
Cs (0.661, 0.661, 0.739)
Cs (0.914, 0.914, 0.049)
Cs (0.917, 0.917, 0.577)
K (0.325, 0.325, 0.742)
K (0.675, 0.675, 0.258)
Cd (0.263, 0.263, 0.963)
Cd (0.264, 0.264, 0.465)
Cd (0.736, 0.736, 0.535)
Cd (0.737, 0.737, 0.037)

Main lines, sorted by position (10° ≤ 2θ ≤ 90°):
- 11.7 deg, intensity 35
- 13.4 deg, intensity 45
- 23.2 deg, intensity 63
- 23.3 deg, intensity 100
- 23.6 deg, intensity 49
- 25.7 deg, intensity 47
- 28.1 deg, intensity 53
- 30.0 deg, intensity 55
- 30.2 deg, intensity 41
- 33.8 deg, intensity 64

=====

Record 2
Simulated powder XRD pattern
Compound: Cs2K6Cd
Radiation: Cu Kα, 1.54184 Å
Structure: a PBE-relaxed structure
Lines closer than 0.1° are merged.

Structural model:
abc: 5.139 12.931 12.931
angles: 127.85 90.00 90.00
Fractional coordinates of all 9 atoms:
Cs (0.000, 0.193, 0.807)
Cs (0.000, 0.807, 0.193)
K (0.000, 0.264, 0.457)
K (0.000, 0.457, 0.264)
K (0.000, 0.741, 0.741)
K (0.500, 0.089, 0.089)
K (0.500, 0.510, 0.801)
K (0.500, 0.801, 0.510)
Cd (0.500, 0.494, 0.494)

Main lines, sorted by position (10° ≤ 2θ ≤ 90°):
- 13.8 deg, intensity 83
- 15.6 deg, intensity 45
- 18.9 deg, intensity 42
- 22.2 deg, intensity 48
- 24.6 deg, intensity 100
- 26.2 deg, intensity 57
- 27.0 deg, intensity 86
- 28.0 deg, intensity 36
- 35.2 deg, intensity 37
- 39.0 deg, intensity 34

=====

Record 3
Simulated powder XRD pattern
Compound: Cs12KCd5
Radiation: Cu Kα, 1.54184 Å
Structure: a PBE-relaxed structure
Lines closer than 0.1° are merged.

Structural model:
abc: 12.073 12.073 12.073
angles: 112.26 111.26 104.99
Fractional coordinates of all 18 atoms:
Cs (0.020, 0.216, 0.804)
Cs (0.181, 0.283, 0.464)
Cs (0.181, 0.717, 0.897)
Cs (0.319, 0.009, 0.690)
Cs (0.319, 0.629, 0.310)
Cs (0.413, 0.216, 0.196)
Cs (0.587, 0.784, 0.804)
Cs (0.681, 0.371, 0.690)
Cs (0.681, 0.991, 0.310)
Cs (0.819, 0.283, 0.103)
Cs (0.819, 0.717, 0.536)
Cs (0.980, 0.784, 0.196)
K (0.500, 0.500, 0.000)
Cd (0.000, 0.000, 0.000)
Cd (0.102, 0.602, 0.500)
Cd (0.388, 0.000, 0.388)
Cd (0.612, 0.000, 0.612)
Cd (0.898, 0.398, 0.500)

Main lines, sorted by position (10° ≤ 2θ ≤ 90°):
- 22.2 deg, intensity 100
- 23.4 deg, intensity 52
- 24.0 deg, intensity 42
- 24.2 deg, intensity 24
- 24.4 deg, intensity 46
- 26.5 deg, intensity 27
- 30.0 deg, intensity 23
- 36.4 deg, intensity 20
- 38.6 deg, intensity 20
- 40.9 deg, intensity 26

=====

Record 4
Simulated powder XRD pattern
Compound: Cs2K4Cd
Radiation: Cu Kα, 1.54184 Å
Structure: a PBE-relaxed structure
Lines closer than 0.1° are merged.

Structural model:
abc: 12.318 12.318 12.318
angles: 95.34 95.34 144.46
Fractional coordinates of all 14 atoms:
Cs (0.118, 0.618, 0.737)
Cs (0.382, 0.118, 0.500)
Cs (0.618, 0.882, 0.500)
Cs (0.882, 0.382, 0.263)
K (0.086, 0.179, 0.265)
K (0.179, 0.914, 0.093)
K (0.321, 0.414, 0.735)
K (0.414, 0.679, 0.093)
K (0.586, 0.321, 0.907)
K (0.679, 0.586, 0.265)
K (0.821, 0.086, 0.907)
K (0.914, 0.821, 0.735)
Cd (0.250, 0.250, 0.000)
Cd (0.750, 0.750, 0.000)

Main lines, sorted by position (10° ≤ 2θ ≤ 90°):
- 10.7 deg, intensity 25
- 16.8 deg, intensity 48
- 16.9 deg, intensity 30
- 22.7 deg, intensity 100
- 27.4 deg, intensity 34
- 30.5 deg, intensity 21
- 32.1 deg, intensity 47
- 41.0 deg, intensity 20
- 41.4 deg, intensity 35
- 45.6 deg, intensity 25